Structure and simulated powder diffractogram of NaGa8Cu4 (a DFT-relaxed cell (GGA-PBE, Alexandria); CuKα).
Peak positions follow from Bragg's law for the DFT cell and can differ from measured ones.

Cell and atoms:
```
NaGa8Cu4
1.0
-4.4829 4.4829 2.5853
4.4829 -4.4829 2.5853
4.4829 4.4829 -2.5853
Na Ga Cu
1 8 4
Direct
0.0000 0.0000 0.0000 Na
0.0000 0.3463 0.3463 Ga
0.0000 0.6537 0.6537 Ga
0.2836 0.5000 0.7836 Ga
0.3463 0.0000 0.3463 Ga
0.5000 0.2836 0.7836 Ga
0.5000 0.7164 0.2164 Ga
0.6537 0.0000 0.6537 Ga
0.7164 0.5000 0.2164 Ga
0.0000 0.0000 0.5000 Cu
0.0000 0.5000 0.0000 Cu
0.5000 0.0000 0.0000 Cu
0.5000 0.5000 0.5000 Cu
```

Most intense lines, 2θ from 10° to 90°, in order of falling intensity:
2theta	I_rel
40.25	100
45.25	97
73.16	29
34.68	25
19.81	20
69.58	16
86.97	14
65.93	11
13.97	8
76.67	8



Structure and simulated powder diffractogram of NaGa2Cu (a DFT-relaxed cell (GGA-PBE, Alexandria); CuKα).
Peak positions follow from Bragg's law for the DFT cell and can differ from measured ones.

Cell and atoms:
```
NaGa2Cu
1.0
2.9977 0.0000 0.0000
0.0000 2.9977 0.0000
0.0000 0.0000 8.0509
Na Ga Cu
1 2 1
Direct
0.0000 0.0000 0.0000 Na
0.5000 0.5000 0.3042 Ga
0.5000 0.5000 0.6958 Ga
0.0000 0.0000 0.5000 Cu
```

Most intense lines, 2θ from 10° to 90°, in order of falling intensity:
2theta	I_rel
37.40	100
10.99	94
42.65	46
45.36	38
74.62	24
61.91	14
80.00	14
44.18	13
73.92	11
63.77	7